Calculated PXRD pattern of Li4CrSbW2O12 for Cu Kα (weighted mean of Kα1 and Kα2), from the GGA+U geometry in Alexandria.

Atomic structure:
```
Li4CrSbW2O12
1.0
5.162 0.000 0.000
0.001 5.444 0.000
0.002 0.536 7.480
Li Cr Sb W O
4 1 1 2 12
direct
0.000 0.000 0.000
0.008 0.985 0.467
0.501 0.637 0.062
0.511 0.520 0.472
0.003 0.570 0.269
0.508 0.075 0.765
0.010 0.569 0.769
0.502 0.080 0.267
0.123 0.584 0.011
0.191 0.887 0.705
0.202 0.260 0.330
0.315 0.775 0.325
0.322 0.393 0.703
0.378 0.068 0.016
0.638 0.084 0.517
0.682 0.385 0.216
0.706 0.769 0.841
0.805 0.888 0.215
0.824 0.265 0.836
0.888 0.586 0.529
```

Most intense lines, 2θ from 10° to 90°, by angle:
| index | d [Å] | I (rel.) |
| --- | --- | --- |
| 1 0 -1 | 4.250 | 16 |
| 1 1 0 | 3.741 | 100 |
| 1 1 2 | 2.713 | 39 |
| 1 1 -2 | 2.582 | 27 |
| 2 0 -2 | 2.125 | 15 |
| 2 2 0 | 1.870 | 18 |
| 1 1 4 | 1.707 | 27 |
| 2 2 -2 | 1.641 | 17 |
| 2 0 4 | 1.514 | 10 |
| 3 1 -2 | 1.491 | 10 |